Record 1
GaP2S4: theoretical PXRD pattern (Cu Kα (λ = 1.5418 Å)), based on a PBE-relaxed structure.
Kinematic intensities with the Lorentz-polarization factor, no thermal factor.

Structural model:
```
GaP2S4
1.0
7.630 0.000 0.000
0.000 7.630 0.000
0.000 0.000 5.844
Ga P S
2 4 8
Direct
0.000 0.000 0.000
0.500 0.500 0.500
0.000 0.500 0.250
0.000 0.500 0.750
0.500 0.000 0.250
0.500 0.000 0.750
0.147 0.671 0.500
0.171 0.353 0.000
0.329 0.147 0.500
0.353 0.829 0.000
0.647 0.171 0.000
0.671 0.853 0.500
0.829 0.647 0.000
0.853 0.329 0.500
```

Main lines, by angle (5° ≤ 2θ ≤ 70°):
d/Å	I_rel
4.639	35.8
3.815	17.6
2.947	100.0
2.922	14.4
2.698	26.2
2.569	17.9
2.413	11.4
1.860	56.8
1.764	11.4
1.706	15.6
1.692	16.9
1.476	11.7


Record 2
TiGaPS2: theoretical PXRD pattern (Cu Kα (λ = 1.5418 Å)), based on a PBE-relaxed structure.
Kinematic intensities with the Lorentz-polarization factor, no thermal factor.

Structural model:
```
TiGaPS2
1.0
4.704 0.000 0.000
0.000 4.704 0.000
0.000 0.000 4.835
Ti Ga P S
1 1 1 2
Direct
0.000 0.000 0.000
0.500 0.500 0.500
0.000 0.000 0.500
0.000 0.500 0.000
0.500 0.000 0.000
```

Main lines, by angle (5° ≤ 2θ ≤ 70°):
d/Å	I_rel
3.372	92.3
3.326	39.6
2.741	100.0
2.418	53.8
2.352	98.8
1.956	18.0
1.929	37.5
1.686	65.8
1.663	31.4
1.450	12.9
1.422	24.1
1.370	31.9


Record 3
Sr3GaP3: theoretical PXRD pattern (Cu Kα (λ = 1.5418 Å)), based on a PBE-relaxed structure.
Kinematic intensities with the Lorentz-polarization factor, no thermal factor.

Structural model:
```
Sr3GaP3
1.0
9.448 -3.219 0.000
9.448 3.219 0.000
0.000 0.000 12.452
Sr Ga P
12 4 12
Direct
0.013 0.633 0.131
0.133 0.513 0.631
0.177 0.823 0.851
0.323 0.677 0.351
0.367 0.987 0.131
0.487 0.867 0.631
0.513 0.133 0.369
0.633 0.013 0.869
0.677 0.323 0.649
0.823 0.177 0.149
0.867 0.487 0.369
0.987 0.367 0.869
0.086 0.086 0.500
0.414 0.414 0.000
0.586 0.586 0.000
0.914 0.914 0.500
0.047 0.635 0.380
0.135 0.547 0.880
0.204 0.796 0.602
0.296 0.704 0.102
0.365 0.953 0.380
0.453 0.865 0.880
0.547 0.135 0.120
0.635 0.047 0.620
0.704 0.296 0.898
0.796 0.204 0.398
0.865 0.453 0.120
0.953 0.365 0.620
```

Main lines, by angle (5° ≤ 2θ ≤ 70°):
d/Å	I_rel
3.648	98.5
3.431	51.4
3.219	30.4
3.151	100.0
3.113	57.3
2.959	52.2
2.601	23.6
2.251	66.3
2.238	68.8
2.214	92.6
1.883	28.6
1.702	27.5


Record 4
SrGa2P2: theoretical PXRD pattern (Cu Kα (λ = 1.5418 Å)), based on a PBE-relaxed structure.
Kinematic intensities with the Lorentz-polarization factor, no thermal factor.

Structural model:
```
SrGa2P2
1.0
3.873 0.000 0.000
-1.937 3.354 0.000
0.000 0.000 25.450
Sr Ga P
3 6 6
Direct
0.000 0.000 0.000
0.333 0.667 0.667
0.667 0.333 0.333
0.000 0.000 0.211
0.000 0.000 0.789
0.333 0.667 0.456
0.333 0.667 0.877
0.667 0.333 0.123
0.667 0.333 0.544
0.000 0.000 0.415
0.000 0.000 0.585
0.333 0.667 0.082
0.333 0.667 0.251
0.667 0.333 0.749
0.667 0.333 0.918
```

Main lines, by angle (5° ≤ 2θ ≤ 70°):
d/Å	I_rel
3.326	9.5
2.967	27.2
2.828	17.3
2.801	100.0
2.027	27.6
1.937	36.7
1.697	2.8
1.674	1.4
1.622	4.5
1.598	32.3
1.593	17.4
1.400	8.1


Record 5
Ti6Ga3P: theoretical PXRD pattern (Cu Kα (λ = 1.5418 Å)), based on a PBE-relaxed structure.
Kinematic intensities with the Lorentz-polarization factor, no thermal factor.

Structural model:
```
Ti6Ga3P
1.0
4.964 -2.810 0.000
4.964 2.810 0.000
-1.307 0.000 6.076
Ti Ga P
6 3 1
Direct
0.111 0.621 0.661
0.343 0.343 0.127
0.379 0.889 0.339
0.621 0.111 0.661
0.657 0.657 0.873
0.889 0.379 0.339
0.000 0.000 0.000
0.148 0.148 0.725
0.852 0.852 0.275
0.500 0.500 0.500
```

Main lines, by angle (5° ≤ 2θ ≤ 70°):
d/Å	I_rel
4.863	33.0
2.743	33.9
2.550	37.0
2.427	33.3
2.386	45.0
2.361	57.3
2.344	100.0
2.278	32.0
2.180	92.9
2.127	45.0
2.004	34.8
1.944	55.2


Record 6
V4Ga5P: theoretical PXRD pattern (Cu Kα (λ = 1.5418 Å)), based on a PBE-relaxed structure.
Kinematic intensities with the Lorentz-polarization factor, no thermal factor.

Structural model:
```
V4Ga5P
1.0
6.894 -1.782 0.000
6.894 1.782 0.000
-1.374 0.000 6.215
V Ga P
4 5 1
Direct
0.024 0.024 0.238
0.331 0.331 0.016
0.669 0.669 0.984
0.976 0.976 0.762
0.152 0.152 0.669
0.209 0.209 0.300
0.500 0.500 0.500
0.791 0.791 0.700
0.848 0.848 0.331
0.500 0.500 0.000
```

Main lines, by angle (5° ≤ 2θ ≤ 70°):
d/Å	I_rel
2.791	21.8
2.684	20.0
2.427	71.0
2.374	46.0
2.273	20.1
2.246	98.7
2.148	14.2
2.112	25.5
2.072	16.5
1.930	100.0
1.782	42.3
1.395	14.3


Record 7
V3GaP: theoretical PXRD pattern (Cu Kα (λ = 1.5418 Å)), based on a PBE-relaxed structure.
Kinematic intensities with the Lorentz-polarization factor, no thermal factor.

Structural model:
```
V3GaP
1.0
4.788 -2.237 0.000
4.788 2.237 0.000
-2.948 0.000 6.561
V Ga P
6 2 2
Direct
0.133 0.133 0.148
0.176 0.176 0.800
0.348 0.348 0.505
0.652 0.652 0.495
0.824 0.824 0.200
0.867 0.867 0.852
0.429 0.429 0.120
0.571 0.571 0.880
0.092 0.092 0.442
0.908 0.908 0.558
```

Main lines, by angle (5° ≤ 2θ ≤ 70°):
d/Å	I_rel
3.097	8.2
2.440	12.6
2.390	100.0
2.327	15.4
2.305	12.3
2.237	78.7
2.186	66.5
2.089	13.9
2.067	65.7
2.007	28.4
1.742	11.4
1.563	47.7


Record 8
PaGa8: theoretical PXRD pattern (Cu Kα (λ = 1.5418 Å)), based on a PBE-relaxed structure.
Kinematic intensities with the Lorentz-polarization factor, no thermal factor.

Structural model:
```
PaGa8
1.0
-4.492 4.492 2.106
4.492 -4.492 2.106
4.492 4.492 -2.106
Pa Ga
1 8
Direct
0.000 0.000 0.000
0.000 0.343 0.343
0.000 0.657 0.657
0.322 0.322 0.644
0.322 0.678 0.000
0.343 0.000 0.343
0.657 0.000 0.657
0.678 0.322 0.000
0.678 0.678 0.356
```

Main lines, by angle (5° ≤ 2θ ≤ 70°):
d/Å	I_rel
6.353	10.6
4.492	6.2
3.814	12.9
3.176	7.8
2.907	13.7
2.841	6.2
2.441	100.0
2.118	32.2
2.106	16.6
1.551	6.0
1.497	10.0
1.493	20.8


> Number 6 is which compound?

V4Ga5P